Structure and simulated powder diffractogram of B2AuI (a PBE-relaxed structure; Cu Kα X-rays).

Structure:
Lattice parameters (Å, degrees): 3.2842 4.2009 5.6978 90.00 103.96 90.00
Sites, in units of the cell vectors:
B (0.2350, 0.0000, 0.4656)
B (0.7650, 0.0000, 0.5344)
Au (0.5000, 0.5046, 0.5000)
I (0.0000, 0.0905, 0.0000)

Peak list (6 most intense, 10° ≤ 2θ ≤ 80°, low angle first)
- hkl 0 1 1, 2θ = 26.65°, d = 3.345 Å, I = 100
- hkl 1 0 -1, 2θ = 28.76°, d = 3.104 Å, I = 50
- hkl 0 0 2, 2θ = 32.38°, d = 2.765 Å, I = 40
- hkl 1 1 0, 2θ = 35.35°, d = 2.539 Å, I = 55
- hkl 1 0 1, 2θ = 35.75°, d = 2.512 Å, I = 27
- hkl 1 1 -2, 2θ = 43.51°, d = 2.080 Å, I = 29